[1]
Starting from a cell relaxed with GGA-PBE, the powder diffraction line list of Cr2CdSeS3 was computed for a wavelength of 1.5418 Å.
Neutral-atom scattering factors, no anomalous dispersion.

Peak list (8 most intense, 10° ≤ 2θ ≤ 90°, by angle)
Position (°2θ), intensity
24.04, 68
28.28, 100
34.27, 23
37.45, 17
42.31, 25
45.00, 61
49.23, 68
49.32, 14

Structural model:
Cell: 7.390 7.410 10.470 Å, 90.00 90.00 90.00°
Space group Imm2 (No. 44)
Symmetry-distinct sites (fractional):
Cr: 0.000 0.242 0.000
Cr: 0.249 0.000 0.246
Cd: 0.000 0.000 0.640
Cd: 0.000 0.500 0.372
Se: 0.223 0.500 0.987
S: 0.000 0.215 0.232
S: 0.000 0.286 0.769
S: 0.220 0.000 0.014

[2]
Starting from a cell relaxed with GGA-PBE, the powder diffraction line list of CrCd3Te4 was computed for a wavelength of 1.5418 Å.
Neutral-atom scattering factors, no anomalous dispersion.

Peak list (8 most intense, 10° ≤ 2θ ≤ 90°, by angle)
Position (°2θ), intensity
23.57, 100
38.96, 78
46.04, 48
56.29, 13
61.86, 19
70.57, 25
75.57, 14
88.47, 14

Structural model:
Cell: 6.538 6.538 6.538 Å, 90.00 90.00 90.00°
Space group P-43m (No. 215)
Symmetry-distinct sites (fractional):
Cr: 0.000 0.000 0.000
Cd: 0.000 0.500 0.500
Te: 0.240 0.240 0.240

[3]
Starting from a cell relaxed with GGA-PBE, the powder diffraction line list of CsDyCdSe3 was computed for a wavelength of 1.5418 Å.
Neutral-atom scattering factors, no anomalous dispersion.

Peak list (8 most intense, 10° ≤ 2θ ≤ 90°, by angle)
Position (°2θ), intensity
10.80, 91
27.56, 100
30.89, 56
31.95, 52
38.07, 55
41.98, 33
48.75, 35
50.66, 32

Structural model:
Cell: 4.305 16.385 11.206 Å, 90.00 90.00 90.00°
Space group Cmcm (No. 63)
Symmetry-distinct sites (fractional):
Cs: 0.000 0.244 0.250
Dy: 0.000 0.500 0.000
Cd: 0.000 0.040 0.750
Se: 0.000 0.117 0.545
Se: 0.000 0.440 0.750

[4]
Starting from a cell relaxed with GGA-PBE, the powder diffraction line list of CsDyCdTe3 was computed for a wavelength of 1.5418 Å.
Neutral-atom scattering factors, no anomalous dispersion.

Peak list (8 most intense, 10° ≤ 2θ ≤ 90°, by angle)
Position (°2θ), intensity
10.18, 81
26.01, 100
29.13, 61
30.07, 48
35.85, 55
39.64, 35
45.82, 42
47.62, 33

Structural model:
Cell: 4.547 17.387 11.889 Å, 90.00 90.00 90.00°
Space group Cmcm (No. 63)
Symmetry-distinct sites (fractional):
Cs: 0.000 0.249 0.250
Dy: 0.000 0.000 0.000
Cd: 0.000 0.463 0.750
Te: 0.000 0.065 0.750
Te: 0.000 0.380 0.546